No. 1
Theoretical powder X-ray diffraction pattern
Compound: LaYMg6
Radiation: copper Kα
Structure: DFT lattice parameters and positions (GGA-PBE)

Peak list (10 most intense, 2θ = 15–90°, sorted by position)
two_theta  d [Å]  I_rel  (hkl)
20.68  4.295  25  0 0 6
20.78  4.274  75  0 1 2
24.01  3.706  53  1 0 4
34.15  2.625  100  0 1 8
34.28  2.616  99  1 1 0
40.39  2.233  40  2 0 2
49.17  1.853  35  2 0 8
61.06  1.518  18  1 0 16
61.34  1.511  53  3 0 0
82.16  1.173  15  2 1 16

Atomic structure:
```
data_LaYMg6
_chemical_formula_sum 'La3 Y3 Mg18'
_space_group_name_H-M_alt 'R -3 m'
_space_group_IT_number 166
_space_group_name_Hall '-R 3 2"'
_cell_length_a 5.2315
_cell_length_b 5.2315
_cell_length_c 25.7708
_cell_angle_alpha 90.00
_cell_angle_beta 90.00
_cell_angle_gamma 120.00
loop_
_atom_site_label
_atom_site_fract_x
_atom_site_fract_y
_atom_site_fract_z
La1 0.0000 0.0000 0.0000
Y1 0.0000 0.0000 0.5000
Mg1 0.0000 0.0000 0.1261
Mg2 0.0000 0.0000 0.2492
Mg3 0.0000 0.0000 0.3766
```


No. 2
Theoretical powder X-ray diffraction pattern
Compound: XeO3
Radiation: copper Kα
Structure: DFT lattice parameters and positions (GGA-PBE)

Peak list (10 most intense, 2θ = 15–90°, sorted by position)
two_theta  d [Å]  I_rel  (hkl)
21.60  4.115  100  1 1 0
24.17  3.682  13  1 1 1
26.00  3.427  53  0 1 2
26.96  3.307  52  1 0 2
29.01  3.078  13  0 2 0
35.10  2.557  15  1 2 1
40.02  2.253  18  1 2 2
41.98  2.152  22  2 1 2
48.60  1.873  14  1 3 1
49.44  1.843  16  1 1 4

Atomic structure:
```
data_XeO3
_chemical_formula_sum 'Xe4 O12'
_space_group_name_H-M_alt 'P 21 21 21'
_space_group_IT_number 19
_cell_length_a 5.531
_cell_length_b 6.155
_cell_length_c 8.250
_cell_angle_alpha 90.00
_cell_angle_beta 90.00
_cell_angle_gamma 90.00
loop_
_space_group_symop_operation_xyz
'x,y,z'
'-x+1/2,-y,z+1/2'
'x+1/2,-y+1/2,-z'
'-x,y+1/2,-z+1/2'
loop_
_atom_site_label
_atom_site_fract_x
_atom_site_fract_y
_atom_site_fract_z
Xe1 0.217 0.060 0.348
O1 0.075 0.450 0.243
O2 0.084 0.176 0.902
O3 0.110 0.142 0.561
```


No. 3
Theoretical powder X-ray diffraction pattern
Compound: DyMgMnS4
Radiation: copper Kα
Structure: DFT lattice parameters and positions (GGA-PBE)

Peak list (10 most intense, 2θ = 15–90°, sorted by position)
two_theta  d [Å]  I_rel  (hkl)
16.83  5.269  25  0 0 2
23.49  3.787  23  2 0 0
27.22  3.276  100  1 2 1
28.00  3.187  53  1 0 3
33.09  2.707  100  2 2 0
34.03  2.635  45  0 0 4
36.54  2.459  46  1 2 3
43.64  2.074  29  3 2 1
48.03  1.894  23  4 0 0
48.19  1.888  85  2 2 4

Atomic structure:
```
data_DyMgMnS4
_chemical_formula_sum 'Dy4 Mg4 Mn4 S16'
_space_group_name_H-M_alt 'I m m a'
_space_group_IT_number 74
_space_group_name_Hall '-I 2b 2'
_cell_length_a 7.577
_cell_length_b 7.741
_cell_length_c 10.538
_cell_angle_alpha 90.00
_cell_angle_beta 90.00
_cell_angle_gamma 90.00
loop_
_atom_site_label
_atom_site_fract_x
_atom_site_fract_y
_atom_site_fract_z
Dy1 0.000 0.000 0.000
Mg1 0.000 0.250 0.374
Mn1 0.250 0.250 0.750
S1 0.000 0.030 0.745
S2 0.248 0.250 0.980
```